# ThUSb4
Simulated powder XRD pattern, Cu Kα (weighted mean of Kα1 and Kα2). Input: a crystal structure in the Materials Project, relaxed with GGA-PBE.

Peak list (10 most intense, 5 to 70 degrees two-theta, most intense first)
two_theta  I_rel  hkl
35.3  100  1 1 2
30.6  68  1 1 1
41.4  57  2 0 0
36.5  49  1 0 3
22.7  40  1 0 1
30.0  35  0 0 3
28.9  34  1 1 0
51.9  30  2 0 3
56.3  28  2 1 3
59.9  19  2 2 0

Cell and atoms:
```
data_ThUSb4
_chemical_formula_sum 'Th1 U1 Sb4'
_symmetry_space_group_name_H-M 'P 4 m m'
_symmetry_Int_Tables_number 99
_cell_length_a 4.365
_cell_length_b 4.365
_cell_length_c 8.941
_cell_angle_alpha 90.00
_cell_angle_beta 90.00
_cell_angle_gamma 90.00
loop_
_symmetry_equiv_pos_as_xyz
'x,y,z'
'-y,x,z'
'-x,-y,z'
'y,-x,z'
'-x,y,z'
'y,x,z'
'x,-y,z'
'-y,-x,z'
loop_
_atom_site_label
_atom_site_fract_x
_atom_site_fract_y
_atom_site_fract_z
Th1 0.000 0.000 0.000
U1 0.500 0.500 0.556
Sb1 0.000 0.000 0.628
Sb2 0.000 0.500 0.286
Sb3 0.500 0.500 0.904
```